For Rb2H8O5, a crystal structure in the Materials Project, relaxed with PBE gives the computed powder diffractogram in this record (Cu Ka).

Peak list (10 most intense, 10 to 90 degrees two-theta, most intense first)
2θ = 33.76°, I 100, (2 2 -4); 2θ = 13.58°, I 95, (0 0 2); 2θ = 27.40°, I 59, (0 2 2); 2θ = 36.41°, I 55, (4 2 0); 2θ = 23.69°, I 51, (4 0 -2); 2θ = 23.56°, I 45, (2 0 2); 2θ = 36.57°, I 38, (6 0 -4); 2θ = 36.30°, I 34, (2 0 4); 2θ = 33.60°, I 27, (1 1 4); 2θ = 27.26°, I 20, (4 0 0)

Crystal structure
```
data_Rb2H8O5
_chemical_formula_sum 'Rb16 H64 O40'
_cell_length_a 15.035
_cell_length_b 7.515
_cell_length_c 14.999
_cell_angle_alpha 90.00
_cell_angle_beta 119.48
_cell_angle_gamma 90.00
_symmetry_space_group_name_H-M 'C 1 c 1'
_symmetry_Int_Tables_number 9
loop_
_symmetry_equiv_pos_as_xyz
'x,y,z'
'x,-y,z+1/2'
'x+1/2,y+1/2,z'
'x+1/2,-y+1/2,z+1/2'
loop_
_atom_site_label
_atom_site_fract_x
_atom_site_fract_y
_atom_site_fract_z
_atom_site_occupancy
Rb1 0.000 0.003 0.000 1
Rb2 0.030 0.017 0.756 1
Rb3 0.260 0.495 0.138 1
Rb4 0.282 0.020 0.142 1
H1 0.055 0.287 0.902 1
H2 0.074 0.370 0.638 1
H3 0.085 0.357 0.163 1
H4 0.102 0.328 0.431 1
H5 0.178 0.300 0.932 1
H6 0.179 0.293 0.269 1
H7 0.179 0.310 0.778 1
H8 0.192 0.249 0.420 1
H9 0.306 0.235 0.794 1
H10 0.316 0.297 0.365 1
H11 0.340 0.285 0.506 1
H12 0.342 0.286 0.991 1
H13 0.418 0.144 0.864 1
H14 0.425 0.141 0.373 1
H15 0.429 0.153 0.585 1
H16 0.448 0.146 0.079 1
O1 0.014 0.445 0.594 1
O2 0.132 0.267 0.958 1
O3 0.133 0.256 0.195 1
O4 0.141 0.218 0.444 1
O5 0.190 0.235 0.731 1
O6 0.269 0.338 0.389 1
O7 0.377 0.267 0.065 1
O8 0.386 0.254 0.829 1
O9 0.387 0.257 0.583 1
O10 0.441 0.226 0.334 1
```